# NdBe17Rh
Simulated powder diffraction line list, λ = 1.5418 Å (Cu Kα). Input: a cell relaxed with PBE.

Atomic structure:
abc: 7.6115 7.6115 10.9493
angles: 90.00 90.00 120.00
Space group R3m (No. 160, hexagonal axes)
Symmetry-distinct sites (fractional):
Nd  0.0000  0.0000  0.0000
Be  0.0000  0.0000  0.5528
Be  0.0000  0.0000  0.7453
Be  0.0489  0.3729  0.3171
Be  0.1693  0.3386  0.8322
Be  0.1720  0.3439  0.4869
Be  0.1804  0.3607  0.1344
Rh  0.0000  0.0000  0.3304

Most intense lines, 10 to 80 degrees two-theta, by angle:
index  Position (°2θ)  Rel. int.
1 0 1  15.69  60
0 1 2  21.09  35
1 1 0  23.37  100
0 0 3  24.39  31
1 1 3  34.03  93
3 0 0  41.08  33
2 2 0  47.80  26
3 0 3  48.35  47
1 1 6  55.88  23
1 4 3  70.35  23